Starting from a crystal structure in Alexandria, relaxed with GGA+U, the powder XRD pattern of NaV13O18 was calculated for Cu Kα X-rays.
No peak broadening, texture or thermal motion is included.

Top 10 peaks for 15° ≤ 2θ ≤ 90°, by angle:
2θ/deg	I_rel
23.8	16.3
24.9	9.9
27.1	9.1
30.7	12.9
35.8	7.1
36.4	19.2
42.1	100.0
60.7	27.6
61.5	25.8
77.4	12.1

Crystal structure
Unit cell a=13.1414 b=13.1414 c=7.5287 alpha=90.00 beta=90.00 gamma=120.00
Space group R-3 (No. 148, hexagonal axes)
Asymmetric unit:
Na1 0.0000 0.0000 0.0000 (multiplicity 3)
V1 0.0000 0.0000 0.5000 (multiplicity 3)
V2 0.0424 0.2732 0.8404 (multiplicity 18)
V3 0.0692 0.5633 0.1628 (multiplicity 18)
O1 0.0230 0.1511 0.6427 (multiplicity 18)
O2 0.0386 0.2935 0.3456 (multiplicity 18)
O3 0.0582 0.5570 0.6765 (multiplicity 18)